[1]
Zn3P2O8: theoretical powder X-ray diffraction pattern (copper Kα), based on DFT lattice parameters and positions (PBE).
Kinematic intensities with the Lorentz-polarization factor, no thermal factor.

Top 10 peaks for 2θ = 10–90°, by angle:
19.15 deg, intensity 48, (1 1 0); 20.85 deg, intensity 33, (1 1 1); 22.07 deg, intensity 34, (2 0 0); 22.26 deg, intensity 28, (2 0 -2); 24.19 deg, intensity 89, (1 1 -3); 27.64 deg, intensity 62, (2 0 2); 28.33 deg, intensity 100, (1 1 -4); 35.87 deg, intensity 32, (0 0 6); 36.12 deg, intensity 37, (3 1 -1); 38.85 deg, intensity 38, (2 2 0)

Crystal structure
Cell lengths 8.326, 5.670, 15.524 Å; angles 90.00, 104.62, 90.00 degrees
Space group C2/c (No. 15)
One atom of each set of equivalent atoms:
Zn 0.000 0.248 0.250
Zn 0.223 0.052 0.933
P 0.164 0.069 0.628
O 0.002 0.028 0.353
O 0.126 0.307 0.580
O 0.203 0.427 0.284
O 0.215 0.109 0.061

***

[2]
Sr7CrN6: theoretical powder X-ray diffraction pattern (copper Kα), based on DFT lattice parameters and positions (PBE).
Kinematic intensities with the Lorentz-polarization factor, no thermal factor.

Top 10 peaks for 2θ = 10–90°, by angle:
28.25 deg, intensity 26, (1 2 1); 29.51 deg, intensity 14, (0 2 2); 30.17 deg, intensity 100, (2 0 4); 33.23 deg, intensity 23, (2 2 2); 33.65 deg, intensity 30, (4 1 1); 33.90 deg, intensity 22, (1 2 3); 35.58 deg, intensity 12, (3 2 1); 40.31 deg, intensity 15, (3 2 3); 48.63 deg, intensity 13, (5 1 4); 53.60 deg, intensity 12, (0 0 8)

Crystal structure
Cell lengths 11.862, 6.751, 13.674 Å; angles 90.00, 90.00, 90.00 degrees
Space group Pbcn (No. 60)
One atom of each set of equivalent atoms:
Sr 0.000 0.064 0.250
Sr 0.036 0.235 0.521
Sr 0.210 0.385 0.131
Sr 0.222 0.355 0.878
Cr 0.000 0.431 0.750
N 0.043 0.418 0.352
N 0.116 0.277 0.711
N 0.165 0.087 0.003